For Rb2Na2AcO4, a structure optimized by DFT (GGA-PBE) gives the theoretical powder X-ray diffraction pattern in this record (a wavelength of 1.5418 Å).

Structure:
```
data_Rb2Na2AcO4
_chemical_formula_sum 'Rb2 Na2 Ac1 O4'
_cell_length_a 6.952
_cell_length_b 6.952
_cell_length_c 9.418
_cell_angle_alpha 126.86
_cell_angle_beta 126.86
_cell_angle_gamma 32.67
_space_group_name_H-M_alt 'P 1'
_space_group_IT_number 1
_space_group_name_Hall 'P 1'
loop_
_atom_site_label
_atom_site_fract_x
_atom_site_fract_y
_atom_site_fract_z
Rb1 0.172 0.172 0.278
Rb2 0.828 0.828 0.722
Na1 0.351 0.351 0.122
Na2 0.649 0.649 0.878
Ac1 0.000 0.000 0.500
O1 0.207 0.207 0.803
O2 0.437 0.437 0.604
O3 0.563 0.563 0.396
O4 0.793 0.793 0.197
```

Principal peaks in the range 10° ≤ 2θ ≤ 80°, in order of rising 2θ:
two_theta	I_rel
12.04	1000
24.31	470
26.45	382
26.88	337
28.99	306
29.55	631
31.56	871
50.41	321


For NaAc2Rh2O6, a structure optimized by DFT (GGA-PBE) gives the theoretical powder X-ray diffraction pattern in this record (a wavelength of 1.5418 Å).

Structure:
```
data_NaAc2Rh2O6
_chemical_formula_sum 'Na1 Ac2 Rh2 O6'
_cell_length_a 6.696
_cell_length_b 6.696
_cell_length_c 6.696
_cell_angle_alpha 52.63
_cell_angle_beta 52.63
_cell_angle_gamma 52.63
_space_group_name_H-M_alt 'P 1'
_space_group_IT_number 1
_space_group_name_Hall 'P 1'
loop_
_atom_site_label
_atom_site_fract_x
_atom_site_fract_y
_atom_site_fract_z
Na1 0.000 0.000 0.000
Ac1 0.214 0.214 0.214
Ac2 0.786 0.786 0.786
Rh1 0.410 0.410 0.410
Rh2 0.590 0.590 0.590
O1 0.205 0.749 0.749
O2 0.251 0.251 0.795
O3 0.251 0.795 0.251
O4 0.749 0.205 0.749
O5 0.749 0.749 0.205
O6 0.795 0.251 0.251
```

Principal peaks in the range 10° ≤ 2θ ≤ 80°, in order of rising 2θ:
two_theta	I_rel
15.40	247
20.10	382
30.11	1000
31.21	775
36.47	206
43.90	494
53.47	204
54.17	368


For Na2Ac2RhO6, a structure optimized by DFT (GGA-PBE) gives the theoretical powder X-ray diffraction pattern in this record (a wavelength of 1.5418 Å).

Structure:
```
data_Na2Ac2RhO6
_chemical_formula_sum 'Na2 Ac2 Rh1 O6'
_cell_length_a 6.223
_cell_length_b 6.223
_cell_length_c 5.880
_cell_angle_alpha 95.64
_cell_angle_beta 95.64
_cell_angle_gamma 120.00
_space_group_name_H-M_alt 'P 1'
_space_group_IT_number 1
_space_group_name_Hall 'P 1'
loop_
_atom_site_label
_atom_site_fract_x
_atom_site_fract_y
_atom_site_fract_z
Na1 0.123 0.877 0.000
Na2 0.877 0.123 0.000
Ac1 0.338 0.662 0.500
Ac2 0.662 0.338 0.500
Rh1 0.000 0.000 0.500
O1 0.027 0.321 0.688
O2 0.233 0.233 0.292
O3 0.321 0.027 0.688
O4 0.679 0.973 0.312
O5 0.767 0.767 0.708
O6 0.973 0.679 0.312
```

Principal peaks in the range 10° ≤ 2θ ≤ 80°, in order of rising 2θ:
two_theta	I_rel
15.37	1000
28.84	371
29.28	208
30.34	187
31.02	176
31.40	296
34.21	433
38.52	173


For NaAcRu2O7, a structure optimized by DFT (GGA-PBE) gives the theoretical powder X-ray diffraction pattern in this record (a wavelength of 1.5418 Å).

Structure:
```
data_NaAcRu2O7
_chemical_formula_sum 'Na1 Ac1 Ru2 O7'
_cell_length_a 10.841
_cell_length_b 10.841
_cell_length_c 10.841
_cell_angle_alpha 159.14
_cell_angle_beta 159.14
_cell_angle_gamma 29.66
_space_group_name_H-M_alt 'P 1'
_space_group_IT_number 1
_space_group_name_Hall 'P 1'
loop_
_atom_site_label
_atom_site_fract_x
_atom_site_fract_y
_atom_site_fract_z
Na1 0.000 0.000 0.000
Ac1 0.250 0.750 0.500
Ru1 0.645 0.145 0.500
Ru2 0.855 0.355 0.500
O1 0.160 0.160 0.000
O2 0.337 0.337 0.000
O3 0.559 0.059 0.500
O4 0.663 0.663 0.000
O5 0.750 0.250 0.500
O6 0.840 0.840 0.000
O7 0.941 0.441 0.500
```

Principal peaks in the range 10° ≤ 2θ ≤ 80°, in order of rising 2θ:
two_theta	I_rel
26.04	1000
31.22	883
32.26	427
33.40	351
46.27	328
53.86	271
54.89	244
56.87	342


For NaAc2SO6, a structure optimized by DFT (GGA-PBE) gives the theoretical powder X-ray diffraction pattern in this record (a wavelength of 1.5418 Å).

Structure:
```
data_NaAc2SO6
_chemical_formula_sum 'Na1 Ac2 S1 O6'
_cell_length_a 5.554
_cell_length_b 5.554
_cell_length_c 4.287
_cell_angle_alpha 90.00
_cell_angle_beta 90.00
_cell_angle_gamma 90.00
_space_group_name_H-M_alt 'P 1'
_space_group_IT_number 1
_space_group_name_Hall 'P 1'
loop_
_atom_site_label
_atom_site_fract_x
_atom_site_fract_y
_atom_site_fract_z
Na1 0.000 0.000 0.000
Ac1 0.000 0.500 0.478
Ac2 0.500 0.000 0.478
S1 0.500 0.500 0.011
O1 0.000 0.000 0.505
O2 0.281 0.281 0.043
O3 0.281 0.719 0.043
O4 0.500 0.500 0.633
O5 0.719 0.281 0.043
O6 0.719 0.719 0.043
```

Principal peaks in the range 10° ≤ 2θ ≤ 80°, in order of rising 2θ:
two_theta	I_rel
20.72	342
22.64	552
30.88	1000
32.23	440
38.63	536
46.23	249
54.04	206
56.63	364


For Na2AcSbO4, a structure optimized by DFT (GGA-PBE) gives the theoretical powder X-ray diffraction pattern in this record (a wavelength of 1.5418 Å).

Structure:
```
data_Na2AcSbO4
_chemical_formula_sum 'Na4 Ac2 Sb2 O8'
_cell_length_a 8.328
_cell_length_b 8.328
_cell_length_c 10.283
_cell_angle_alpha 90.00
_cell_angle_beta 90.00
_cell_angle_gamma 152.78
_space_group_name_H-M_alt 'P 1'
_space_group_IT_number 1
_space_group_name_Hall 'P 1'
loop_
_atom_site_label
_atom_site_fract_x
_atom_site_fract_y
_atom_site_fract_z
Na1 0.083 0.917 0.548
Na2 0.083 0.917 0.952
Na3 0.917 0.083 0.048
Na4 0.917 0.083 0.452
Ac1 0.458 0.542 0.750
Ac2 0.542 0.458 0.250
Sb1 0.247 0.753 0.250
Sb2 0.753 0.247 0.750
O1 0.037 0.963 0.750
O2 0.166 0.834 0.118
O3 0.166 0.834 0.382
O4 0.500 0.500 0.000
O5 0.500 0.500 0.500
O6 0.834 0.166 0.618
O7 0.834 0.166 0.882
O8 0.963 0.037 0.250
```

Principal peaks in the range 10° ≤ 2θ ≤ 80°, in order of rising 2θ:
two_theta	I_rel
13.92	420
17.25	856
28.09	599
29.18	498
29.48	1000
34.32	355
38.68	331
46.44	325


For Na4AcSe3O12, a structure optimized by DFT (GGA-PBE) gives the theoretical powder X-ray diffraction pattern in this record (a wavelength of 1.5418 Å).

Structure:
```
data_Na4AcSe3O12
_chemical_formula_sum 'Na4 Ac1 Se3 O12'
_cell_length_a 6.966
_cell_length_b 6.966
_cell_length_c 6.966
_cell_angle_alpha 109.47
_cell_angle_beta 109.47
_cell_angle_gamma 109.47
_space_group_name_H-M_alt 'P 1'
_space_group_IT_number 1
_space_group_name_Hall 'P 1'
loop_
_atom_site_label
_atom_site_fract_x
_atom_site_fract_y
_atom_site_fract_z
Na1 0.000 0.000 0.500
Na2 0.000 0.500 0.000
Na3 0.500 0.000 0.000
Na4 0.500 0.500 0.500
Ac1 0.000 0.000 0.000
Se1 0.000 0.500 0.500
Se2 0.500 0.000 0.500
Se3 0.500 0.500 0.000
O1 0.151 0.340 0.491
O2 0.151 0.660 0.811
O3 0.189 0.849 0.340
O4 0.340 0.189 0.849
O5 0.340 0.491 0.151
O6 0.491 0.151 0.340
O7 0.509 0.849 0.660
O8 0.660 0.509 0.849
O9 0.660 0.811 0.151
O10 0.811 0.151 0.660
O11 0.849 0.340 0.189
O12 0.849 0.660 0.509
```

Principal peaks in the range 10° ≤ 2θ ≤ 80°, in order of rising 2θ:
two_theta	I_rel
15.58	271
22.10	651
31.46	1000
35.28	234
38.78	215
42.03	223
50.76	199
56.00	509


For Na2AcTcO6, a structure optimized by DFT (GGA-PBE) gives the theoretical powder X-ray diffraction pattern in this record (a wavelength of 1.5418 Å).

Structure:
```
data_Na2AcTcO6
_chemical_formula_sum 'Na4 Ac2 Tc2 O12'
_cell_length_a 5.716
_cell_length_b 6.037
_cell_length_c 10.068
_cell_angle_alpha 90.00
_cell_angle_beta 124.43
_cell_angle_gamma 90.00
_space_group_name_H-M_alt 'P 1'
_space_group_IT_number 1
_space_group_name_Hall 'P 1'
loop_
_atom_site_label
_atom_site_fract_x
_atom_site_fract_y
_atom_site_fract_z
Na1 0.229 0.040 0.234
Na2 0.229 0.460 0.734
Na3 0.771 0.540 0.266
Na4 0.771 0.960 0.766
Ac1 0.000 0.000 0.500
Ac2 0.000 0.500 0.000
Tc1 0.500 0.000 0.000
Tc2 0.500 0.500 0.500
O1 0.181 0.159 0.961
O2 0.181 0.341 0.461
O3 0.275 0.736 0.924
O4 0.275 0.764 0.424
O5 0.391 0.068 0.786
O6 0.391 0.432 0.286
O7 0.609 0.568 0.714
O8 0.609 0.932 0.214
O9 0.725 0.236 0.576
O10 0.725 0.264 0.076
O11 0.819 0.659 0.539
O12 0.819 0.841 0.039
```

Principal peaks in the range 10° ≤ 2θ ≤ 80°, in order of rising 2θ:
two_theta	I_rel
18.85	106
21.41	1000
29.60	200
30.45	756
31.30	171
43.61	279
49.07	316
53.05	176


For NaAcU2O8, a structure optimized by DFT (GGA-PBE) gives the theoretical powder X-ray diffraction pattern in this record (a wavelength of 1.5418 Å).

Structure:
```
data_NaAcU2O8
_chemical_formula_sum 'Na1 Ac1 U2 O8'
_cell_length_a 6.653
_cell_length_b 6.653
_cell_length_c 6.653
_cell_angle_alpha 130.33
_cell_angle_beta 130.33
_cell_angle_gamma 72.88
_space_group_name_H-M_alt 'P 1'
_space_group_IT_number 1
_space_group_name_Hall 'P 1'
loop_
_atom_site_label
_atom_site_fract_x
_atom_site_fract_y
_atom_site_fract_z
Na1 0.000 0.000 0.000
Ac1 0.750 0.250 0.500
U1 0.250 0.750 0.500
U2 0.500 0.500 0.000
O1 0.146 0.637 0.062
O2 0.175 0.167 0.561
O3 0.363 0.426 0.509
O4 0.386 0.825 0.992
O5 0.574 0.084 0.938
O6 0.607 0.614 0.439
O7 0.833 0.393 0.008
O8 0.916 0.854 0.491
```

Principal peaks in the range 10° ≤ 2θ ≤ 80°, in order of rising 2θ:
two_theta	I_rel
17.91	271
28.07	1000
32.03	239
45.93	177
47.02	330
54.70	323
56.60	174
75.76	140